Starting from a structure optimized by DFT (PBE), the PXRD pattern of NdGa3Au was computed for Cu Kα, 1.54184 Å.

Cell and atoms:
Cell: 4.319 4.319 11.150 Å, 90.00 90.00 90.00°
Space group I4mm (No. 107)
One atom of each set of equivalent atoms:
Nd  0.000  0.000  0.000 [2 per cell]
Ga  0.000  0.000  0.603 [2 per cell]
Ga  0.000  0.500  0.243 [4 per cell]
Au  0.000  0.000  0.377 [2 per cell]

Top 8 peaks for 2θ from 10° to 90°, by angle:
3.054 Å, 2θ = 29.24°, intensity 428, (1 1 0); 2.817 Å, 2θ = 31.76°, intensity 956, (1 0 3); 2.678 Å, 2θ = 33.46°, intensity 1000, (1 1 2); 2.159 Å, 2θ = 41.83°, intensity 720, (2 0 0); 2.059 Å, 2θ = 43.98°, intensity 280, (1 1 4); 1.981 Å, 2θ = 45.79°, intensity 525, (1 0 5); 1.714 Å, 2θ = 53.46°, intensity 445, (2 1 3); 1.460 Å, 2θ = 63.75°, intensity 390, (2 1 5)